(1)
For TaCu4Te, a structure optimized by DFT (GGA-PBE) gives the theoretical X-ray diffraction stick pattern in this record (CuKα).

Crystal structure
```
data_TaCu4Te
_symmetry_space_group_name_H-M 'F -4 3 m'
_symmetry_Int_Tables_number 216
_symmetry_space_group_name_Hall 'F -4 2 3'
_cell_length_a 7.1060
_cell_length_b 7.1060
_cell_length_c 7.1060
_cell_angle_alpha 90.00
_cell_angle_beta 90.00
_cell_angle_gamma 90.00
loop_
_atom_site_label
_atom_site_type_symbol
_atom_site_fract_x
_atom_site_fract_y
_atom_site_fract_z
_atom_site_occupancy
Ta1 Ta 0.0000 0.0000 0.0000 1
Cu1 Cu 0.1257 0.1257 0.3743 1
Te1 Te 0.2500 0.2500 0.7500 1
```

Principal peaks in the range 2θ from 5° to 70°, sorted by position:
| two_theta | d/Å | intensity |
| --- | --- | --- |
| 21.7 | 4.103 | 11 |
| 25.1 | 3.553 | 2 |
| 35.7 | 2.512 | 58 |
| 42.2 | 2.143 | 100 |
| 44.1 | 2.051 | 18 |
| 56.4 | 1.630 | 3 |
| 58.0 | 1.589 | 1 |
| 64.2 | 1.451 | 21 |
| 68.6 | 1.368 | 30 |


(2)
For Sr6Li15Tl8, a structure optimized by DFT (GGA-PBE) gives the theoretical X-ray diffraction stick pattern in this record (CuKα).

Crystal structure
```
data_Sr6Li15Tl8
_symmetry_space_group_name_H-M 'F m -3 m'
_symmetry_Int_Tables_number 225
_symmetry_space_group_name_Hall '-F 4 2 3'
_cell_length_a 14.4937
_cell_length_b 14.4937
_cell_length_c 14.4937
_cell_angle_alpha 90.00
_cell_angle_beta 90.00
_cell_angle_gamma 90.00
loop_
_atom_site_label
_atom_site_type_symbol
_atom_site_fract_x
_atom_site_fract_y
_atom_site_fract_z
_atom_site_occupancy
Sr1 Sr 0.0000 0.0000 0.2170 1
Li1 Li 0.0000 0.0000 0.5000 1
Li2 Li 0.0000 0.2500 0.2500 1
Li3 Li 0.1770 0.1770 0.1770 1
Tl1 Tl 0.1276 0.1276 0.3724 1
```

Principal peaks in the range 2θ from 5° to 70°, sorted by position:
| two_theta | d/Å | intensity |
| --- | --- | --- |
| 10.6 | 8.368 | 47 |
| 20.3 | 4.370 | 51 |
| 24.6 | 3.623 | 35 |
| 26.8 | 3.325 | 56 |
| 32.1 | 2.789 | 34 |
| 35.0 | 2.562 | 100 |
| 36.7 | 2.450 | 18 |
| 51.6 | 1.771 | 18 |
| 56.8 | 1.620 | 19 |
| 62.8 | 1.479 | 30 |


(3)
For HfZr2Tl3Te6, a structure optimized by DFT (GGA-PBE) gives the theoretical X-ray diffraction stick pattern in this record (CuKα).

Crystal structure
```
data_HfZr2Tl3Te6
_symmetry_space_group_name_H-M 'C 1 2/m 1'
_symmetry_Int_Tables_number 12
_symmetry_space_group_name_Hall '-C 2y'
_cell_length_a 6.9467
_cell_length_b 12.0415
_cell_length_c 8.8783
_cell_angle_alpha 90.00
_cell_angle_beta 90.10
_cell_angle_gamma 90.00
loop_
_atom_site_label
_atom_site_type_symbol
_atom_site_fract_x
_atom_site_fract_y
_atom_site_fract_z
_atom_site_occupancy
Hf1 Hf 0.0000 0.0000 0.0000 1
Zr1 Zr 0.0000 0.3334 0.0000 1
Tl1 Tl 0.0000 0.0000 0.5000 1
Tl2 Tl 0.0000 0.3332 0.5000 1
Te1 Te 0.1645 0.1650 0.7985 1
Te2 Te 0.1694 0.5000 0.7984 1
```

Principal peaks in the range 2θ from 5° to 70°, sorted by position:
| two_theta | d/Å | intensity |
| --- | --- | --- |
| 25.6 | 3.475 | 18 |
| 27.6 | 3.236 | 45 |
| 30.2 | 2.959 | 8 |
| 32.7 | 2.736 | 100 |
| 40.6 | 2.220 | 8 |
| 45.2 | 2.006 | 34 |
| 48.7 | 1.871 | 20 |
| 55.3 | 1.661 | 9 |
| 56.9 | 1.618 | 21 |
| 62.4 | 1.489 | 9 |


(4)
For CsNdNiBr6, a structure optimized by DFT (GGA-PBE) gives the theoretical X-ray diffraction stick pattern in this record (CuKα).

Crystal structure
```
data_CsNdNiBr6
_symmetry_space_group_name_H-M 'P 3 1 2'
_symmetry_Int_Tables_number 149
_symmetry_space_group_name_Hall 'P 3 2'
_cell_length_a 7.1851
_cell_length_b 7.1851
_cell_length_c 8.1424
_cell_angle_alpha 90.00
_cell_angle_beta 90.00
_cell_angle_gamma 120.00
loop_
_atom_site_label
_atom_site_type_symbol
_atom_site_fract_x
_atom_site_fract_y
_atom_site_fract_z
_atom_site_occupancy
Cs1 Cs 0.0000 0.0000 0.0000 1
Nd1 Nd 0.3333 0.6667 0.5000 1
Ni1 Ni 0.6667 0.3333 0.5000 1
Br1 Br 0.3889 0.0331 0.6909 1
```

Principal peaks in the range 2θ from 5° to 70°, sorted by position:
| two_theta | d/Å | intensity |
| --- | --- | --- |
| 10.9 | 8.142 | 50 |
| 17.9 | 4.944 | 100 |
| 27.1 | 3.287 | 70 |
| 33.3 | 2.694 | 100 |
| 39.9 | 2.260 | 37 |
| 41.7 | 2.166 | 18 |
| 43.6 | 2.074 | 36 |
| 44.3 | 2.045 | 18 |
| 51.6 | 1.771 | 22 |
| 56.0 | 1.643 | 17 |


(5)
For GeB2O6, a structure optimized by DFT (GGA-PBE) gives the theoretical X-ray diffraction stick pattern in this record (CuKα).

Crystal structure
```
data_GeB2O6
_symmetry_space_group_name_H-M 'C 1 2/c 1'
_symmetry_Int_Tables_number 15
_symmetry_space_group_name_Hall '-C 2yc'
_cell_length_a 9.1357
_cell_length_b 7.9645
_cell_length_c 4.8765
_cell_angle_alpha 90.00
_cell_angle_beta 108.55
_cell_angle_gamma 90.00
loop_
_atom_site_label
_atom_site_type_symbol
_atom_site_fract_x
_atom_site_fract_y
_atom_site_fract_z
_atom_site_occupancy
Ge1 Ge 0.0000 0.1116 0.2500 1
B1 B 0.2090 0.4272 0.2634 1
O1 O 0.1188 0.0716 0.6383 1
O2 O 0.1453 0.4909 0.4835 1
O3 O 0.1507 0.2562 0.1993 1
```

Principal peaks in the range 2θ from 5° to 70°, sorted by position:
| two_theta | d/Å | intensity |
| --- | --- | --- |
| 15.1 | 5.863 | 100 |
| 21.8 | 4.083 | 57 |
| 22.3 | 3.982 | 15 |
| 27.0 | 3.301 | 33 |
| 32.5 | 2.759 | 52 |
| 33.0 | 2.714 | 34 |
| 39.8 | 2.265 | 15 |
| 45.2 | 2.008 | 21 |
| 46.3 | 1.963 | 17 |
| 46.4 | 1.957 | 26 |


(6)
For Rb2Ta2S5, a structure optimized by DFT (GGA-PBE) gives the theoretical X-ray diffraction stick pattern in this record (CuKα).

Crystal structure
```
data_Rb2Ta2S5
_symmetry_space_group_name_H-M 'C 1 2/m 1'
_symmetry_Int_Tables_number 12
_symmetry_space_group_name_Hall '-C 2y'
_cell_length_a 13.8780
_cell_length_b 4.8313
_cell_length_c 8.2566
_cell_angle_alpha 90.00
_cell_angle_beta 100.13
_cell_angle_gamma 90.00
loop_
_atom_site_label
_atom_site_type_symbol
_atom_site_fract_x
_atom_site_fract_y
_atom_site_fract_z
_atom_site_occupancy
Rb1 Rb 0.0867 0.0000 0.3181 1
Ta1 Ta 0.1475 0.5000 0.8997 1
S1 S 0.0000 0.5000 0.0000 1
S2 S 0.1277 0.5000 0.6239 1
S3 S 0.1807 0.0000 0.9603 1
```

Principal peaks in the range 2θ from 5° to 70°, sorted by position:
| two_theta | d/Å | intensity |
| --- | --- | --- |
| 10.9 | 8.128 | 86 |
| 15.4 | 5.751 | 34 |
| 22.9 | 3.878 | 100 |
| 23.4 | 3.798 | 49 |
| 26.1 | 3.415 | 32 |
| 27.7 | 3.216 | 46 |
| 30.3 | 2.947 | 23 |
| 37.2 | 2.416 | 31 |
| 46.8 | 1.940 | 23 |
| 47.9 | 1.899 | 22 |


(7)
For Ac3La4Hg3N2, a structure optimized by DFT (GGA-PBE) gives the theoretical X-ray diffraction stick pattern in this record (CuKα).

Crystal structure
```
data_Ac3La4Hg3N2
_symmetry_space_group_name_H-M 'I m m m'
_symmetry_Int_Tables_number 71
_symmetry_space_group_name_Hall '-I 2 2'
_cell_length_a 5.1945
_cell_length_b 5.3622
_cell_length_c 25.7971
_cell_angle_alpha 90.00
_cell_angle_beta 90.00
_cell_angle_gamma 90.00
loop_
_atom_site_label
_atom_site_type_symbol
_atom_site_fract_x
_atom_site_fract_y
_atom_site_fract_z
_atom_site_occupancy
Ac1 Ac 0.0000 0.0000 0.0000 1
Ac2 Ac 0.0000 0.5000 0.0985 1
La1 La 0.0000 0.0000 0.2000 1
La2 La 0.0000 0.5000 0.3995 1
Hg1 Hg 0.0000 0.0000 0.3228 1
Hg2 Hg 0.0000 0.0000 0.5000 1
N1 N 0.0000 0.0000 0.1065 1
```

Principal peaks in the range 2θ from 5° to 70°, sorted by position:
| two_theta | d/Å | intensity |
| --- | --- | --- |
| 27.6 | 3.229 | 61 |
| 31.8 | 2.818 | 100 |
| 33.4 | 2.681 | 35 |
| 34.5 | 2.597 | 32 |
| 34.8 | 2.580 | 21 |
| 48.8 | 1.865 | 25 |
| 49.8 | 1.831 | 20 |
| 58.7 | 1.573 | 18 |
| 60.1 | 1.539 | 17 |
| 61.3 | 1.512 | 16 |


(8)
For La2TiCuO6, a structure optimized by DFT (GGA-PBE) gives the theoretical X-ray diffraction stick pattern in this record (CuKα).

Crystal structure
```
data_La2TiCuO6
_symmetry_space_group_name_H-M 'P 1 21/c 1'
_symmetry_Int_Tables_number 14
_symmetry_space_group_name_Hall '-P 2ybc'
_cell_length_a 5.6121
_cell_length_b 5.8222
_cell_length_c 9.5380
_cell_angle_alpha 90.00
_cell_angle_beta 125.90
_cell_angle_gamma 90.00
loop_
_atom_site_label
_atom_site_type_symbol
_atom_site_fract_x
_atom_site_fract_y
_atom_site_fract_z
_atom_site_occupancy
La1 La 0.2408 0.0549 0.2505 1
Ti1 Ti 0.0000 0.0000 0.5000 1
Cu1 Cu 0.5000 0.0000 0.0000 1
O1 O 0.1428 0.2158 0.9541 1
O2 O 0.2403 0.6858 0.9561 1
O3 O 0.3344 0.0259 0.7494 1
```

Principal peaks in the range 2θ from 5° to 70°, sorted by position:
| two_theta | d/Å | intensity |
| --- | --- | --- |
| 22.0 | 4.041 | 14 |
| 24.9 | 3.581 | 14 |
| 30.7 | 2.911 | 23 |
| 31.9 | 2.806 | 27 |
| 32.1 | 2.792 | 100 |
| 44.9 | 2.020 | 24 |
| 47.1 | 1.931 | 20 |
| 51.2 | 1.785 | 14 |
| 56.9 | 1.619 | 12 |
| 57.0 | 1.616 | 12 |


(9)
For Ta3SnS6, a structure optimized by DFT (GGA-PBE) gives the theoretical X-ray diffraction stick pattern in this record (CuKα).

Crystal structure
```
data_Ta3SnS6
_symmetry_space_group_name_H-M 'P 63/m c m'
_symmetry_Int_Tables_number 193
_symmetry_space_group_name_Hall '-P 6c 2'
_cell_length_a 5.8053
_cell_length_b 5.8053
_cell_length_c 14.7037
_cell_angle_alpha 90.00
_cell_angle_beta 90.00
_cell_angle_gamma 120.00
loop_
_atom_site_label
_atom_site_type_symbol
_atom_site_fract_x
_atom_site_fract_y
_atom_site_fract_z
_atom_site_occupancy
Ta1 Ta 0.0000 0.0000 0.2500 1
Ta2 Ta 0.3333 0.6667 0.2500 1
Sn1 Sn 0.0000 0.0000 0.0000 1
S1 S 0.0000 0.3357 0.1437 1
```

Principal peaks in the range 2θ from 5° to 70°, sorted by position:
| two_theta | d/Å | intensity |
| --- | --- | --- |
| 12.0 | 7.352 | 100 |
| 24.2 | 3.676 | 21 |
| 30.8 | 2.903 | 47 |
| 33.2 | 2.700 | 39 |
| 39.6 | 2.278 | 87 |
| 48.6 | 1.873 | 20 |
| 54.8 | 1.676 | 22 |
| 56.3 | 1.634 | 12 |
| 59.5 | 1.553 | 18 |
| 69.7 | 1.350 | 17 |


(10)
For Ti2Ga2Ni5, a structure optimized by DFT (GGA-PBE) gives the theoretical X-ray diffraction stick pattern in this record (CuKα).

Crystal structure
```
data_Ti2Ga2Ni5
_symmetry_space_group_name_H-M 'I m a 2'
_symmetry_Int_Tables_number 46
_symmetry_space_group_name_Hall 'I 2 -2a'
_cell_length_a 12.0243
_cell_length_b 6.7332
_cell_length_c 6.0803
_cell_angle_alpha 90.00
_cell_angle_beta 90.00
_cell_angle_gamma 90.00
loop_
_atom_site_label
_atom_site_type_symbol
_atom_site_fract_x
_atom_site_fract_y
_atom_site_fract_z
_atom_site_occupancy
Ti1 Ti 0.1222 0.0196 0.0000 1
Ga1 Ga 0.0000 0.0000 0.6086 1
Ga2 Ga 0.2500 0.5098 0.8828 1
Ni1 Ni 0.0299 0.1889 0.2884 1
Ni2 Ni 0.1562 0.7025 0.1777 1
Ni3 Ni 0.2500 0.1813 0.7202 1
```

Principal peaks in the range 2θ from 5° to 70°, sorted by position:
| two_theta | d/Å | intensity |
| --- | --- | --- |
| 35.9 | 2.502 | 99 |
| 37.9 | 2.373 | 26 |
| 39.8 | 2.265 | 60 |
| 40.0 | 2.256 | 79 |
| 42.8 | 2.112 | 75 |
| 45.7 | 1.987 | 100 |
| 46.8 | 1.941 | 33 |
| 49.3 | 1.847 | 30 |
| 50.2 | 1.816 | 47 |
| 53.1 | 1.724 | 36 |


(11)
For Sc2Cd3In3, a structure optimized by DFT (GGA-PBE) gives the theoretical X-ray diffraction stick pattern in this record (CuKα).

Crystal structure
```
data_Sc2Cd3In3
_symmetry_space_group_name_H-M 'P m m m'
_symmetry_Int_Tables_number 47
_symmetry_space_group_name_Hall '-P 2 2'
_cell_length_a 4.4514
_cell_length_b 4.5395
_cell_length_c 8.7926
_cell_angle_alpha 90.00
_cell_angle_beta 90.00
_cell_angle_gamma 90.00
loop_
_atom_site_label
_atom_site_type_symbol
_atom_site_fract_x
_atom_site_fract_y
_atom_site_fract_z
_atom_site_occupancy
Sc1 Sc 0.0000 0.0000 0.2477 1
Cd1 Cd 0.0000 0.5000 0.5000 1
Cd2 Cd 0.5000 0.5000 0.2549 1
In1 In 0.0000 0.5000 0.0000 1
In2 In 0.5000 0.0000 0.0000 1
In3 In 0.5000 0.0000 0.5000 1
```

Principal peaks in the range 2θ from 5° to 70°, sorted by position:
| two_theta | d/Å | intensity |
| --- | --- | --- |
| 19.9 | 4.451 | 3 |
| 20.2 | 4.396 | 3 |
| 34.8 | 2.576 | 100 |
| 39.7 | 2.270 | 17 |
| 40.5 | 2.226 | 16 |
| 41.1 | 2.198 | 16 |
| 58.0 | 1.589 | 11 |
| 58.4 | 1.579 | 11 |
| 59.1 | 1.564 | 10 |
| 68.9 | 1.362 | 13 |


(12)
For Li2CaHoTl4, a structure optimized by DFT (GGA-PBE) gives the theoretical X-ray diffraction stick pattern in this record (CuKα).

Crystal structure
```
data_Li2CaHoTl4
_symmetry_space_group_name_H-M 'R -3 m'
_symmetry_Int_Tables_number 166
_symmetry_space_group_name_Hall '-R 3 2"'
_cell_length_a 5.2066
_cell_length_b 5.2066
_cell_length_c 25.4949
_cell_angle_alpha 90.00
_cell_angle_beta 90.00
_cell_angle_gamma 120.00
loop_
_atom_site_label
_atom_site_type_symbol
_atom_site_fract_x
_atom_site_fract_y
_atom_site_fract_z
_atom_site_occupancy
Li1 Li 0.0000 0.0000 0.2500 1
Ca1 Ca 0.0000 0.0000 0.0000 1
Ho1 Ho 0.0000 0.0000 0.5000 1
Tl1 Tl 0.0000 0.0000 0.1263 1
Tl2 Tl 0.0000 0.0000 0.3756 1
```

Principal peaks in the range 2θ from 5° to 70°, sorted by position:
| two_theta | d/Å | intensity |
| --- | --- | --- |
| 10.4 | 8.498 | 4 |
| 20.0 | 4.440 | 3 |
| 20.9 | 4.250 | 9 |
| 24.2 | 3.681 | 40 |
| 34.5 | 2.603 | 100 |
| 40.6 | 2.220 | 5 |
| 42.5 | 2.125 | 12 |
| 49.5 | 1.841 | 18 |
| 55.8 | 1.646 | 17 |
| 61.7 | 1.503 | 38 |